This entry pairs a crystal structure of Fe3Mo3N with its theoretical powder XRD pattern. Radiation: Cu Kα (λ = 1.5418 Å). Structure: a PBE-relaxed structure.

Largest 6 diffraction maxima, by intensity, 2θ from 15° to 90°:
2theta	I (rel.)
42.57	100
46.55	46
40.03	43
72.71	36
88.07	17
35.46	17

Structure:
Lattice parameters (Å, degrees): 7.803 7.803 7.803 60.00 60.00 60.00
Fractional coordinates of all 28 atoms:
Fe 0.000 0.000 0.000
Fe 0.000 0.000 0.500
Fe 0.000 0.500 0.000
Fe 0.106 0.798 0.798
Fe 0.202 0.202 0.202
Fe 0.202 0.202 0.894
Fe 0.202 0.894 0.202
Fe 0.500 0.000 0.000
Fe 0.798 0.106 0.798
Fe 0.798 0.798 0.106
Fe 0.798 0.798 0.798
Fe 0.894 0.202 0.202
Mo 0.173 0.173 0.577
Mo 0.173 0.577 0.173
Mo 0.173 0.577 0.577
Mo 0.423 0.423 0.827
Mo 0.423 0.827 0.423
Mo 0.423 0.827 0.827
Mo 0.577 0.173 0.173
Mo 0.577 0.173 0.577
Mo 0.577 0.577 0.173
Mo 0.827 0.423 0.423
Mo 0.827 0.423 0.827
Mo 0.827 0.827 0.423
N 0.000 0.500 0.500
N 0.500 0.000 0.500
N 0.500 0.500 0.000
N 0.500 0.500 0.500